For Cr2HgF8, DFT lattice parameters and positions (GGA+U) gives the simulated powder diffraction line list in this record (Cu Kα (λ = 1.5418 Å)).

Atomic structure:
Unit cell a=4.062 b=6.336 c=6.360 alpha=70.27 beta=89.91 gamma=89.68
Space group P-1 (No. 2)
One atom of each set of equivalent atoms:
Cr (0.246, 0.119, 0.120) x2
Hg (0.000, 0.500, 0.500) x1
F (0.247, 0.370, 0.852) x2
F (0.250, 0.918, 0.916) x2
F (0.252, 0.847, 0.367) x2
F (0.263, 0.295, 0.301) x2

The 10 most intense peaks (2θ = 10–90°), sorted by position:
5.976 Å, 14.82°, I = 38, (0 0 1)
5.191 Å, 17.08°, I = 70, (0 1 1)
4.062 Å, 21.88°, I = 35, (1 0 0)
3.654 Å, 24.36°, I = 67, (0 1 -1)
3.363 Å, 26.50°, I = 100, (1 1 0)
3.192 Å, 27.95°, I = 55, (-1 1 1)
3.128 Å, 28.54°, I = 52, (0 1 2)
2.481 Å, 36.20°, I = 33, (1 1 2)
2.410 Å, 37.32°, I = 32, (1 0 2)
1.924 Å, 47.24°, I = 31, (2 0 -1)